Mg2TaBi3Pt3: simulated X-ray diffraction stick pattern (λ = 1.5418 Å (Cu Kα)), based on a structure optimized by DFT (GGA-PBE).

Largest 10 diffraction maxima, by angle, 2θ from 10° to 80°:
| (hkl) | Position (°2θ) | d/Å | I/Imax |
| --- | --- | --- | --- |
| 2 0 0 | 23.8 | 3.744 | 45 |
| 0 0 2 | 23.8 | 3.738 | 15 |
| 1 3 1 | 27.5 | 3.241 | 5 |
| 2 0 2 | 39.3 | 2.292 | 100 |
| 3 3 -3 | 46.5 | 1.954 | 29 |
| 4 0 -4 | 56.8 | 1.620 | 17 |
| 2 6 -4 | 62.4 | 1.488 | 7 |
| 4 6 -4 | 71.3 | 1.324 | 24 |
| 2 0 -6 | 71.4 | 1.322 | 9 |
| 4 0 -6 | 76.3 | 1.248 | 6 |

Structure:
a = 7.9465 Å, b = 13.7521 Å, c = 7.9333 Å
α = 90.00°, β = 109.55°, γ = 90.00°
Space group Cc (No. 9)
Symmetry-distinct sites (fractional):
Mg1 0.0000 0.0832 0.0000
Mg2 0.0084 0.2532 0.5004
Ta1 0.0077 0.4184 0.0040
Bi1 0.2419 0.0850 0.7584
Bi2 0.2595 0.2443 0.2488
Bi3 0.2669 0.4094 0.7491
Pt1 0.3602 0.4166 0.1217
Pt2 0.3884 0.2385 0.6221
Pt3 0.3951 0.0724 0.1403

---

SiBiMo4N2: simulated X-ray diffraction stick pattern (λ = 1.5418 Å (Cu Kα)), based on a structure optimized by DFT (GGA-PBE).

Largest 10 diffraction maxima, by angle, 2θ from 10° to 80°:
| (hkl) | Position (°2θ) | d/Å | I/Imax |
| --- | --- | --- | --- |
| 0 0 3 | 21.3 | 4.164 | 11 |
| 1 0 0 | 31.2 | 2.865 | 39 |
| 1 0 2 | 34.4 | 2.604 | 46 |
| 0 0 5 | 35.9 | 2.498 | 18 |
| 1 0 3 | 38.1 | 2.360 | 100 |
| 1 0 5 | 48.3 | 1.883 | 16 |
| 1 1 0 | 55.6 | 1.654 | 30 |
| 1 1 5 | 68.0 | 1.379 | 17 |
| 1 0 8 | 68.4 | 1.371 | 15 |
| 2 0 3 | 69.4 | 1.355 | 17 |

Structure:
a = 3.3082 Å, b = 3.3082 Å, c = 12.4924 Å
α = 90.00°, β = 90.00°, γ = 120.00°
Space group P-6m2 (No. 187)
Symmetry-distinct sites (fractional):
Si1 0.0000 0.0000 0.0000
Bi1 0.3333 0.6667 0.5000
Mo1 0.0000 0.0000 0.2964
Mo2 0.3333 0.6667 0.1337
N1 0.6667 0.3333 0.2458

---

Re2Bi2Mo3: simulated X-ray diffraction stick pattern (λ = 1.5418 Å (Cu Kα)), based on a structure optimized by DFT (GGA-PBE).

Largest 10 diffraction maxima, by angle, 2θ from 10° to 80°:
| (hkl) | Position (°2θ) | d/Å | I/Imax |
| --- | --- | --- | --- |
| 1 0 4 | 27.7 | 3.217 | 34 |
| 0 1 5 | 30.5 | 2.935 | 16 |
| 1 0 7 | 36.8 | 2.439 | 51 |
| 1 1 0 | 38.8 | 2.319 | 100 |
| 0 1 8 | 40.4 | 2.233 | 22 |
| 0 1 11 | 52.0 | 1.757 | 12 |
| 0 2 7 | 54.6 | 1.681 | 16 |
| 2 1 7 | 69.0 | 1.361 | 16 |
| 3 0 0 | 70.3 | 1.339 | 18 |
| 1 2 8 | 71.4 | 1.322 | 8 |

Structure:
a = 4.6371 Å, b = 4.6371 Å, c = 21.4968 Å
α = 90.00°, β = 90.00°, γ = 120.00°
Space group R3m (No. 160, hexagonal axes)
Symmetry-distinct sites (fractional):
Re1 0.0000 0.0000 0.0000
Re2 0.0000 0.0000 0.4787
Bi1 0.0000 0.0000 0.1938
Bi2 0.0000 0.0000 0.7553
Mo1 0.0000 0.0000 0.3609
Mo2 0.0000 0.0000 0.6252
Mo3 0.0000 0.0000 0.8917

---

SrBi2Mo2: simulated X-ray diffraction stick pattern (λ = 1.5418 Å (Cu Kα)), based on a structure optimized by DFT (GGA-PBE).

Largest 10 diffraction maxima, by angle, 2θ from 10° to 80°:
| (hkl) | Position (°2θ) | d/Å | I/Imax |
| --- | --- | --- | --- |
| 0 0 2 | 15.2 | 5.845 | 37 |
| 0 1 1 | 21.9 | 4.060 | 33 |
| 1 1 1 | 28.2 | 3.162 | 47 |
| 1 1 -2 | 30.6 | 2.923 | 100 |
| 0 1 3 | 30.9 | 2.896 | 69 |
| 1 1 2 | 31.5 | 2.844 | 36 |
| 2 0 0 | 34.9 | 2.574 | 39 |
| 1 1 -4 | 40.5 | 2.227 | 30 |
| 0 2 0 | 41.7 | 2.167 | 83 |
| 1 1 4 | 41.9 | 2.158 | 43 |

Structure:
a = 5.1534 Å, b = 4.3299 Å, c = 11.7044 Å
α = 90.00°, β = 92.84°, γ = 90.00°
Space group P2_1/m (No. 11)
Symmetry-distinct sites (fractional):
Sr1 0.1946 0.2500 0.2432
Bi1 0.2438 0.7500 0.4718
Bi2 0.3339 0.2500 0.8637
Mo1 0.1415 0.7500 0.0094
Mo2 0.2704 0.2500 0.6245

---

TlBi5Mo3: simulated X-ray diffraction stick pattern (λ = 1.5418 Å (Cu Kα)), based on a structure optimized by DFT (GGA-PBE).

Largest 10 diffraction maxima, by angle, 2θ from 10° to 80°:
| (hkl) | Position (°2θ) | d/Å | I/Imax |
| --- | --- | --- | --- |
| 1 0 2 | 27.4 | 3.258 | 100 |
| 0 0 3 | 30.8 | 2.906 | 18 |
| 1 1 0 | 31.6 | 2.832 | 98 |
| 1 1 2 | 37.9 | 2.375 | 18 |
| 0 0 4 | 41.4 | 2.179 | 18 |
| 2 0 2 | 42.3 | 2.138 | 79 |
| 1 1 4 | 53.0 | 1.727 | 25 |
| 2 1 2 | 53.7 | 1.706 | 33 |
| 3 0 0 | 56.3 | 1.635 | 20 |
| 2 2 0 | 66.0 | 1.416 | 22 |

Structure:
a = 5.6644 Å, b = 5.6644 Å, c = 8.7175 Å
α = 90.00°, β = 90.00°, γ = 120.00°
Space group P6/mmm (No. 191)
Symmetry-distinct sites (fractional):
Tl1 0.0000 0.0000 0.0000
Bi1 0.0000 0.0000 0.5000
Bi2 0.3333 0.6667 0.2139
Mo1 0.0000 0.5000 0.5000

---

NbBiN2O: simulated X-ray diffraction stick pattern (λ = 1.5418 Å (Cu Kα)), based on a structure optimized by DFT (GGA-PBE).

Largest 10 diffraction maxima, by angle, 2θ from 10° to 80°:
| (hkl) | Position (°2θ) | d/Å | I/Imax |
| --- | --- | --- | --- |
| 0 0 2 | 30.6 | 2.922 | 21 |
| 2 0 0 | 31.0 | 2.883 | 28 |
| 1 2 1 | 31.5 | 2.840 | 100 |
| 1 1 2 | 36.3 | 2.474 | 16 |
| 2 0 2 | 44.1 | 2.052 | 23 |
| 0 4 0 | 46.1 | 1.967 | 12 |
| 1 2 3 | 54.9 | 1.671 | 14 |
| 3 2 1 | 55.5 | 1.656 | 21 |
| 2 4 0 | 56.6 | 1.625 | 12 |
| 2 4 2 | 65.8 | 1.420 | 12 |

Structure:
a = 5.7651 Å, b = 7.8695 Å, c = 5.8447 Å
α = 90.00°, β = 90.00°, γ = 90.00°
Space group Pnma (No. 62)
Symmetry-distinct sites (fractional):
Nb1 0.0000 0.0000 0.0000
Bi1 0.0016 0.2500 0.4518
N1 0.2480 0.5599 0.7479
O1 0.0008 0.7500 0.0917

---

NbBiN2O: simulated X-ray diffraction stick pattern (λ = 1.5418 Å (Cu Kα)), based on a structure optimized by DFT (GGA-PBE).

Largest 10 diffraction maxima, by angle, 2θ from 10° to 80°:
| (hkl) | Position (°2θ) | d/Å | I/Imax |
| --- | --- | --- | --- |
| 2 0 0 | 21.9 | 4.054 | 19 |
| 0 0 2 | 30.8 | 2.899 | 24 |
| 2 1 1 | 31.2 | 2.865 | 100 |
| 0 2 0 | 31.5 | 2.842 | 24 |
| 0 2 2 | 44.7 | 2.029 | 21 |
| 4 0 0 | 44.8 | 2.022 | 13 |
| 2 1 3 | 55.1 | 1.667 | 17 |
| 4 0 2 | 55.4 | 1.658 | 10 |
| 4 2 0 | 55.9 | 1.646 | 30 |
| 4 2 2 | 65.1 | 1.432 | 13 |

Structure:
a = 8.0875 Å, b = 5.6841 Å, c = 5.7972 Å
α = 90.00°, β = 90.00°, γ = 90.00°
Space group Pmc2_1 (No. 26)
Symmetry-distinct sites (fractional):
Nb1 0.2446 0.2385 0.0000
Bi1 0.0000 0.2511 0.5246
Bi2 0.5000 0.2208 0.4565
N1 0.0000 0.3334 0.0332
N2 0.2149 0.0578 0.3338
N3 0.5000 0.1710 0.0627
O1 0.2887 0.4445 0.7332

---

NbBiN2O: simulated X-ray diffraction stick pattern (λ = 1.5418 Å (Cu Kα)), based on a structure optimized by DFT (GGA-PBE).

Largest 10 diffraction maxima, by angle, 2θ from 10° to 80°:
| (hkl) | Position (°2θ) | d/Å | I/Imax |
| --- | --- | --- | --- |
| 1 0 -1 | 28.8 | 3.096 | 60 |
| 1 0 1 | 30.2 | 2.957 | 57 |
| 0 1 1 | 31.2 | 2.863 | 100 |
| 1 1 0 | 31.4 | 2.851 | 99 |
| 0 0 2 | 42.1 | 2.148 | 25 |
| 2 0 0 | 42.5 | 2.129 | 25 |
| 0 2 0 | 47.4 | 1.920 | 23 |
| 1 1 -2 | 52.6 | 1.741 | 24 |
| 2 1 -1 | 52.8 | 1.734 | 24 |
| 1 1 2 | 54.3 | 1.691 | 23 |

Structure:
a = 4.2624 Å, b = 3.8396 Å, c = 4.2999 Å
α = 90.00°, β = 92.62°, γ = 90.00°
Space group Pm (No. 6)
Symmetry-distinct sites (fractional):
Nb1 0.0000 0.0000 0.0000
Bi1 0.4555 0.5000 0.5456
N1 0.0757 0.0000 0.4429
N2 0.5506 0.0000 0.9147
O1 0.0871 0.5000 0.9074

---

NbBiN2O: simulated X-ray diffraction stick pattern (λ = 1.5418 Å (Cu Kα)), based on a structure optimized by DFT (GGA-PBE).

Largest 10 diffraction maxima, by angle, 2θ from 10° to 80°:
| (hkl) | Position (°2θ) | d/Å | I/Imax |
| --- | --- | --- | --- |
| 0 1 1 | 21.5 | 4.131 | 11 |
| 0 2 0 | 30.3 | 2.946 | 22 |
| 0 0 2 | 30.9 | 2.897 | 29 |
| 2 1 1 | 31.5 | 2.843 | 100 |
| 1 2 1 | 36.1 | 2.490 | 14 |
| 0 2 2 | 43.8 | 2.065 | 23 |
| 2 3 1 | 54.6 | 1.680 | 15 |
| 2 1 3 | 55.3 | 1.662 | 21 |
| 4 0 2 | 56.7 | 1.623 | 12 |
| 4 2 2 | 65.7 | 1.421 | 12 |

Structure:
a = 7.8370 Å, b = 5.8917 Å, c = 5.7932 Å
α = 90.00°, β = 90.00°, γ = 90.00°
Space group Ima2 (No. 46)
Symmetry-distinct sites (fractional):
Nb1 0.0000 0.0000 0.0000
Bi1 0.2500 0.0455 0.5086
N1 0.0596 0.2492 0.7823
O1 0.2500 0.5906 0.5344

---

NbBiN2O: simulated X-ray diffraction stick pattern (λ = 1.5418 Å (Cu Kα)), based on a structure optimized by DFT (GGA-PBE).

Largest 10 diffraction maxima, by angle, 2θ from 10° to 80°:
| (hkl) | Position (°2θ) | d/Å | I/Imax |
| --- | --- | --- | --- |
| 0 1 1 | 21.3 | 4.163 | 18 |
| 0 0 2 | 30.0 | 2.982 | 29 |
| 0 2 0 | 30.8 | 2.907 | 19 |
| 1 1 1 | 31.0 | 2.889 | 100 |
| 0 2 1 | 34.3 | 2.613 | 13 |
| 0 2 2 | 43.5 | 2.081 | 18 |
| 2 0 0 | 45.2 | 2.007 | 14 |
| 1 1 3 | 53.8 | 1.703 | 21 |
| 2 0 2 | 55.2 | 1.665 | 11 |
| 2 2 2 | 64.5 | 1.445 | 11 |

Structure:
a = 4.0133 Å, b = 5.8143 Å, c = 5.9632 Å
α = 90.00°, β = 90.00°, γ = 90.00°
Space group Pmc2_1 (No. 26)
Symmetry-distinct sites (fractional):
Nb1 0.0000 0.2175 0.0000
Bi1 0.5000 0.3011 0.4510
N1 0.0000 0.0273 0.7433
N2 0.5000 0.3088 0.0624
O1 0.0000 0.4546 0.3495

---

Ta2Nb4Bi3N3: simulated X-ray diffraction stick pattern (λ = 1.5418 Å (Cu Kα)), based on a structure optimized by DFT (GGA-PBE).

Largest 10 diffraction maxima, by angle, 2θ from 10° to 80°:
| (hkl) | Position (°2θ) | d/Å | I/Imax |
| --- | --- | --- | --- |
| 3 1 -1 | 29.9 | 2.989 | 49 |
| 0 2 0 | 30.1 | 2.973 | 23 |
| 3 1 2 | 36.0 | 2.497 | 97 |
| 0 2 3 | 36.3 | 2.472 | 98 |
| 3 1 -4 | 36.5 | 2.464 | 100 |
| 0 0 6 | 40.6 | 2.223 | 45 |
| 6 0 -2 | 53.0 | 1.729 | 22 |
| 3 3 -1 | 53.3 | 1.720 | 45 |
| 6 2 -5 | 66.3 | 1.410 | 33 |
| 6 0 -8 | 69.4 | 1.355 | 28 |

Structure:
a = 10.3744 Å, b = 5.9469 Å, c = 13.7252 Å
α = 90.00°, β = 103.65°, γ = 90.00°
Space group C2/c (No. 15)
Symmetry-distinct sites (fractional):
Ta1 0.0731 0.0926 0.4308
Nb1 0.1078 0.4390 0.5748
Nb2 0.2150 0.4029 0.9247
Bi1 0.0000 0.4117 0.2500
Bi2 0.1647 0.0796 0.7506
N1 0.0767 0.2309 0.0006
N2 0.2500 0.2500 0.5000

---

NdBiN2O: simulated X-ray diffraction stick pattern (λ = 1.5418 Å (Cu Kα)), based on a structure optimized by DFT (GGA-PBE).

Largest 10 diffraction maxima, by angle, 2θ from 10° to 80°:
| (hkl) | Position (°2θ) | d/Å | I/Imax |
| --- | --- | --- | --- |
| 1 2 1 | 29.9 | 2.987 | 100 |
| 2 1 1 | 30.2 | 2.961 | 21 |
| 0 1 3 | 30.3 | 2.946 | 24 |
| 0 2 -2 | 42.3 | 2.137 | 11 |
| 2 2 4 | 43.3 | 2.088 | 22 |
| 2 3 -1 | 52.8 | 1.733 | 11 |
| 0 3 1 | 52.9 | 1.730 | 12 |
| 3 3 2 | 53.4 | 1.714 | 19 |
| 1 3 4 | 53.6 | 1.709 | 20 |
| 2 4 2 | 62.1 | 1.494 | 12 |

Structure:
a = 5.9216 Å, b = 5.9712 Å, c = 10.2551 Å
α = 74.40°, β = 73.27°, γ = 60.37°
Space group P1 (No. 1)
Symmetry-distinct sites (fractional):
Nd1 0.0000 0.0000 0.0000
Nd2 0.1733 0.2447 0.2628
Nd3 0.4629 0.5106 0.5032
Nd4 0.6796 0.7679 0.7432
Bi1 0.0500 0.1377 0.6291
Bi2 0.3468 0.3678 0.8916
Bi3 0.5852 0.6409 0.1209
Bi4 0.8388 0.8625 0.3739
N1 0.0059 0.3782 0.0461
N2 0.0448 0.5119 0.5233
N3 0.1720 0.8609 0.2172
N4 0.4340 0.6245 0.9569
N5 0.6096 0.9861 0.9849
N6 0.6444 0.3837 0.7139
N7 0.7351 0.6313 0.2966
N8 0.8877 0.1092 0.4725
O1 0.0878 0.7554 0.7510
O2 0.2381 0.1442 0.7831
O3 0.4626 0.9068 0.5377
O4 0.5751 0.2490 0.2602